CePm2Hg4: computed powder diffraction line list (Cu Kα), based on DFT lattice parameters and positions (GGA-PBE).
Kinematic intensities with the Lorentz-polarization factor, no thermal factor.

Crystal structure
Cell lengths 6.4807, 6.4807, 5.2535 Å; angles 90.00, 90.00, 106.09 degrees
Atoms (fractional coordinates):
1 Ce 0.0000 0.0000 0.0000
2 Pm 0.2819 0.7181 0.5000
3 Pm 0.7181 0.2819 0.5000
4 Hg 0.0000 0.5000 0.0000
5 Hg 0.2172 0.2172 0.5000
6 Hg 0.5000 0.0000 0.0000
7 Hg 0.7828 0.7828 0.5000

Peak list (12 most intense, 2θ = 10–80°, sorted by position)
3.688 Å, 24.13°, I 12
3.157 Å, 28.27°, I 8
2.678 Å, 33.46°, I 100
2.627 Å, 34.13°, I 26
2.589 Å, 34.64°, I 22
2.272 Å, 39.67°, I 8
1.948 Å, 46.62°, I 9
1.844 Å, 49.43°, I 16
1.565 Å, 59.03°, I 9
1.526 Å, 60.67°, I 18
1.512 Å, 61.33°, I 13
1.339 Å, 70.29°, I 9